For Ce5GeTe4, a DFT-relaxed cell (GGA-PBE, Alexandria) gives the theoretical XRD peak list in this record (a wavelength of 1.5418 Å).
Intensities are scaled so that the largest is 100.

Top 8 peaks for 2θ = 10–90°, in order of rising 2θ:
| Position (°2θ) | d (Å) | I/Imax |
| --- | --- | --- |
| 28.39 | 3.144 | 100 |
| 32.60 | 2.747 | 2 |
| 40.58 | 2.223 | 75 |
| 50.26 | 1.815 | 27 |
| 58.74 | 1.572 | 12 |
| 66.50 | 1.406 | 33 |
| 73.83 | 1.284 | 24 |
| 87.82 | 1.112 | 8 |

Structure:
Cell lengths 16.029, 16.029, 16.029 Å; angles 164.05, 164.05, 22.62 degrees
Fractional coordinates of all 10 atoms:
Ce 0.000 0.000 0.000
Ce 0.202 0.202 0.000
Ce 0.406 0.406 0.000
Ce 0.594 0.594 0.000
Ce 0.798 0.798 0.000
Ge 0.500 0.500 0.000
Te 0.101 0.101 0.000
Te 0.303 0.303 0.000
Te 0.697 0.697 0.000
Te 0.899 0.899 0.000